Entry 1:
Ca4Al2H22CO20: calculated PXRD pattern (Cu Ka), based on a cell relaxed with PBE.
Kinematic intensities with the Lorentz-polarization factor, no thermal factor.

Cell and atoms:
```
Ca4Al2H22CO20
1.0
5.8199 0.0000 0.0000
1.3637 8.4208 0.0000
1.3495 3.9822 9.0085
Ca Al H C O
4 2 22 1 20
Direct
0.0000 0.0000 0.0000
0.0350 0.2455 0.6163
0.4996 0.5084 0.4988
0.5436 0.7380 0.1094
0.0236 0.6199 0.3047
0.5158 0.1254 0.8088
0.0007 0.6280 0.5566
0.0028 0.5949 0.8445
0.0489 0.6315 0.0424
0.0835 0.2466 0.1278
0.1926 0.3411 0.8460
0.1975 0.8828 0.2927
0.2368 0.1237 0.3450
0.2612 0.6201 0.7785
0.3024 0.8353 0.5747
0.3418 0.3988 0.2732
0.3659 0.8610 0.8124
0.4773 0.4867 0.9828
0.4937 0.1058 0.0744
0.5022 0.1276 0.3023
0.5335 0.1354 0.5462
0.5720 0.7686 0.6175
0.6738 0.3925 0.7985
0.7081 0.8376 0.3432
0.7271 0.4061 0.0424
0.8351 0.9199 0.7555
0.8541 0.3539 0.3213
0.8759 0.1468 0.2322
0.8954 0.9503 0.5023
0.0882 0.5561 0.5073
0.0929 0.0071 0.4991
0.1640 0.5513 0.8703
0.1732 0.8320 0.2255
0.2068 0.2312 0.8341
0.3322 0.5107 0.2814
0.3514 0.1826 0.2591
0.3724 0.9112 0.8832
0.4146 0.7288 0.6208
0.4455 0.1950 0.6051
0.5879 0.0543 0.0111
0.6311 0.5170 0.9858
0.6604 0.3399 0.7305
0.7138 0.7327 0.3251
0.7640 0.0312 0.3914
0.8248 0.0169 0.7854
0.8318 0.8154 0.6156
0.8735 0.4088 0.3865
0.9267 0.2207 0.1245
0.9541 0.6867 0.1030
```

Top 10 peaks for 2θ = 15–90°, by angle:
h k l	2theta	I (rel.)
0 2 2	23.56	100
1 1 -2	31.07	28
1 0 3	32.59	34
-2 1 1	35.43	44
2 1 -1	35.70	40
2 0 2	35.84	28
1 3 0	36.69	66
1 1 4	38.26	41
-1 3 2	38.53	33
0 2 -4	54.94	34



Entry 2:
AlH6C2SeCl3: calculated PXRD pattern (Cu Ka), based on a cell relaxed with PBE.
Kinematic intensities with the Lorentz-polarization factor, no thermal factor.

Cell and atoms:
```
AlH6C2SeCl3
1.0
6.5482 0.0000 0.0000
0.0000 13.1548 0.0000
0.0000 0.0000 11.1707
Al H C Se Cl
4 24 8 4 12
Direct
0.0629 0.0640 0.2500
0.0629 0.4360 0.7500
0.9371 0.5640 0.2500
0.9371 0.9360 0.7500
0.2477 0.6259 0.5348
0.2477 0.6259 0.9652
0.2477 0.8741 0.0348
0.2477 0.8741 0.4652
0.4015 0.7120 0.6229
0.4015 0.7120 0.8771
0.4015 0.7880 0.1229
0.4015 0.7880 0.3771
0.4517 0.5766 0.6262
0.4517 0.5766 0.8738
0.4517 0.9234 0.1262
0.4517 0.9234 0.3738
0.5483 0.0766 0.6262
0.5483 0.0766 0.8738
0.5483 0.4234 0.1262
0.5483 0.4234 0.3738
0.5985 0.2120 0.6229
0.5985 0.2120 0.8771
0.5985 0.2880 0.1229
0.5985 0.2880 0.3771
0.7523 0.1259 0.5348
0.7523 0.1259 0.9652
0.7523 0.3741 0.0348
0.7523 0.3741 0.4652
0.3352 0.6357 0.6175
0.3352 0.6357 0.8825
0.3352 0.8643 0.1175
0.3352 0.8643 0.3825
0.6648 0.1357 0.6175
0.6648 0.1357 0.8825
0.6648 0.3643 0.1175
0.6648 0.3643 0.3825
0.1389 0.6251 0.7500
0.1389 0.8749 0.2500
0.8611 0.1251 0.7500
0.8611 0.3749 0.2500
0.1897 0.1241 0.0890
0.1897 0.1241 0.4110
0.1897 0.3759 0.5890
0.1897 0.3759 0.9110
0.2642 0.5701 0.2500
0.2642 0.9299 0.7500
0.7358 0.0701 0.2500
0.7358 0.4299 0.7500
0.8103 0.6241 0.0890
0.8103 0.6241 0.4110
0.8103 0.8759 0.5890
0.8103 0.8759 0.9110
```

Top 10 peaks for 2θ = 15–90°, by angle:
h k l	2theta	I (rel.)
0 0 2	15.87	84
1 1 1	17.08	81
1 0 2	20.89	45
1 1 2	21.98	72
1 3 1	25.72	69
0 4 0	27.11	70
2 1 1	29.24	100
1 2 3	30.79	31
0 0 6	48.89	32
3 2 3	50.41	34



Entry 3:
AlTeH6C2Cl3: calculated PXRD pattern (Cu Ka), based on a cell relaxed with PBE.
Kinematic intensities with the Lorentz-polarization factor, no thermal factor.

Cell and atoms:
```
AlTeH6C2Cl3
1.0
6.6588 0.0000 0.0000
0.0000 13.7250 0.0000
0.0000 0.0000 11.0605
Al Te H C Cl
4 4 24 8 12
Direct
0.0493 0.0658 0.2500
0.0493 0.4342 0.7500
0.9507 0.5658 0.2500
0.9507 0.9342 0.7500
0.1290 0.6299 0.7500
0.1290 0.8701 0.2500
0.8710 0.1299 0.7500
0.8710 0.3701 0.2500
0.2680 0.6243 0.5218
0.2680 0.6243 0.9782
0.2680 0.8757 0.0218
0.2680 0.8757 0.4782
0.4241 0.7032 0.6127
0.4241 0.7032 0.8873
0.4241 0.7968 0.1127
0.4241 0.7968 0.3873
0.4541 0.5723 0.6210
0.4541 0.5723 0.8790
0.4541 0.9277 0.1210
0.4541 0.9277 0.3790
0.5459 0.0723 0.6210
0.5459 0.0723 0.8790
0.5459 0.4277 0.1210
0.5459 0.4277 0.3790
0.5759 0.2032 0.6127
0.5759 0.2032 0.8873
0.5759 0.2968 0.1127
0.5759 0.2968 0.3873
0.7320 0.1243 0.5218
0.7320 0.1243 0.9782
0.7320 0.3757 0.0218
0.7320 0.3757 0.4782
0.3488 0.6324 0.6074
0.3488 0.6324 0.8926
0.3488 0.8676 0.1074
0.3488 0.8676 0.3926
0.6512 0.1324 0.6074
0.6512 0.1324 0.8926
0.6512 0.3676 0.1074
0.6512 0.3676 0.3926
0.1761 0.1235 0.0874
0.1761 0.1235 0.4126
0.1761 0.3765 0.5874
0.1761 0.3765 0.9126
0.2727 0.5754 0.2500
0.2727 0.9246 0.7500
0.7273 0.0754 0.2500
0.7273 0.4246 0.7500
0.8239 0.6235 0.0874
0.8239 0.6235 0.4126
0.8239 0.8765 0.5874
0.8239 0.8765 0.9126
```

Top 10 peaks for 2θ = 15–90°, by angle:
h k l	2theta	I (rel.)
0 0 2	16.03	87
1 1 1	16.83	76
1 0 2	20.88	41
1 1 2	21.87	71
1 3 1	24.95	66
0 4 0	25.97	74
0 2 3	27.46	33
2 1 1	28.71	100
1 2 3	30.64	63
3 2 3	49.76	33



Repeat the third record exactly.
AlTeH6C2Cl3: calculated PXRD pattern (Cu Ka), based on a cell relaxed with PBE.
Kinematic intensities with the Lorentz-polarization factor, no thermal factor.

Cell and atoms:
```
AlTeH6C2Cl3
1.0
6.6588 0.0000 0.0000
0.0000 13.7250 0.0000
0.0000 0.0000 11.0605
Al Te H C Cl
4 4 24 8 12
Direct
0.0493 0.0658 0.2500
0.0493 0.4342 0.7500
0.9507 0.5658 0.2500
0.9507 0.9342 0.7500
0.1290 0.6299 0.7500
0.1290 0.8701 0.2500
0.8710 0.1299 0.7500
0.8710 0.3701 0.2500
0.2680 0.6243 0.5218
0.2680 0.6243 0.9782
0.2680 0.8757 0.0218
0.2680 0.8757 0.4782
0.4241 0.7032 0.6127
0.4241 0.7032 0.8873
0.4241 0.7968 0.1127
0.4241 0.7968 0.3873
0.4541 0.5723 0.6210
0.4541 0.5723 0.8790
0.4541 0.9277 0.1210
0.4541 0.9277 0.3790
0.5459 0.0723 0.6210
0.5459 0.0723 0.8790
0.5459 0.4277 0.1210
0.5459 0.4277 0.3790
0.5759 0.2032 0.6127
0.5759 0.2032 0.8873
0.5759 0.2968 0.1127
0.5759 0.2968 0.3873
0.7320 0.1243 0.5218
0.7320 0.1243 0.9782
0.7320 0.3757 0.0218
0.7320 0.3757 0.4782
0.3488 0.6324 0.6074
0.3488 0.6324 0.8926
0.3488 0.8676 0.1074
0.3488 0.8676 0.3926
0.6512 0.1324 0.6074
0.6512 0.1324 0.8926
0.6512 0.3676 0.1074
0.6512 0.3676 0.3926
0.1761 0.1235 0.0874
0.1761 0.1235 0.4126
0.1761 0.3765 0.5874
0.1761 0.3765 0.9126
0.2727 0.5754 0.2500
0.2727 0.9246 0.7500
0.7273 0.0754 0.2500
0.7273 0.4246 0.7500
0.8239 0.6235 0.0874
0.8239 0.6235 0.4126
0.8239 0.8765 0.5874
0.8239 0.8765 0.9126
```

Top 10 peaks for 2θ = 15–90°, by angle:
h k l	2theta	I (rel.)
0 0 2	16.03	87
1 1 1	16.83	76
1 0 2	20.88	41
1 1 2	21.87	71
1 3 1	24.95	66
0 4 0	25.97	74
0 2 3	27.46	33
2 1 1	28.71	100
1 2 3	30.64	63
3 2 3	49.76	33



Question: What is the formula in the first record?
Answer: Ca4Al2H22CO20